No. 1
Starting from a GGA-PBE-relaxed structure, the powder diffractogram of Er7Co2Cu2 was simulated for CuKα.

Structural model:
```
data_Er7Co2Cu2
_symmetry_space_group_name_H-M 'C m m m'
_symmetry_Int_Tables_number 65
_symmetry_space_group_name_Hall '-C 2 2'
_cell_length_a 7.298
_cell_length_b 10.711
_cell_length_c 6.788
_cell_angle_alpha 90.00
_cell_angle_beta 90.00
_cell_angle_gamma 90.00
loop_
_atom_site_label
_atom_site_fract_x
_atom_site_fract_y
_atom_site_fract_z
_atom_site_occupancy
Er1 0.000 0.000 0.000 1
Er2 0.000 0.500 0.249 1
Er3 0.250 0.250 0.256 1
Co1 0.000 0.298 0.000 1
Cu1 0.170 0.000 0.500 1
```

Largest 8 diffraction maxima, by intensity, 2θ from 10° to 80°:
| Position (°2θ) | d (Å) | intensity |
| --- | --- | --- |
| 29.63 | 3.015 | 100.0 |
| 39.99 | 2.254 | 93.6 |
| 33.46 | 2.678 | 68.3 |
| 30.21 | 2.958 | 54.9 |
| 38.62 | 2.331 | 44.9 |
| 50.02 | 1.823 | 29.0 |
| 31.20 | 2.867 | 25.7 |
| 62.83 | 1.479 | 24.1 |

No. 2
Starting from a GGA-PBE-relaxed structure, the powder diffractogram of Sm3Al8Cu3 was simulated for CuKα.

Structural model:
```
data_Sm3Al8Cu3
_symmetry_space_group_name_H-M 'I m m m'
_symmetry_Int_Tables_number 71
_symmetry_space_group_name_Hall '-I 2 2'
_cell_length_a 4.345
_cell_length_b 9.830
_cell_length_c 12.372
_cell_angle_alpha 90.00
_cell_angle_beta 90.00
_cell_angle_gamma 90.00
loop_
_atom_site_label
_atom_site_fract_x
_atom_site_fract_y
_atom_site_fract_z
_atom_site_occupancy
Sm1 0.000 0.000 0.000 1
Sm2 0.000 0.000 0.309 1
Al1 0.000 0.288 0.120 1
Al2 0.000 0.363 0.340 1
Cu1 0.000 0.209 0.500 1
Cu2 0.000 0.500 0.000 1
```

Largest 8 diffraction maxima, by intensity, 2θ from 10° to 80°:
| Position (°2θ) | d (Å) | intensity |
| --- | --- | --- |
| 35.12 | 2.555 | 100.0 |
| 22.37 | 3.974 | 36.5 |
| 34.27 | 2.616 | 31.2 |
| 34.98 | 2.565 | 28.6 |
| 41.57 | 2.172 | 27.7 |
| 29.87 | 2.991 | 26.9 |
| 18.05 | 4.915 | 23.5 |
| 23.39 | 3.803 | 21.8 |

No. 3
Starting from a GGA-PBE-relaxed structure, the powder diffractogram of Mg7Au2 was simulated for CuKα.

Structural model:
```
data_Mg7Au2
_symmetry_space_group_name_H-M 'P -3 m 1'
_symmetry_Int_Tables_number 164
_symmetry_space_group_name_Hall '-P 3 2"'
_cell_length_a 4.7955
_cell_length_b 4.7955
_cell_length_c 9.2345
_cell_angle_alpha 90.00
_cell_angle_beta 90.00
_cell_angle_gamma 120.00
loop_
_atom_site_label
_atom_site_fract_x
_atom_site_fract_y
_atom_site_fract_z
_atom_site_occupancy
Mg1 0.0000 0.0000 0.0000 1
Mg2 0.0000 0.0000 0.3252 1
Mg3 0.3333 0.6667 0.1541 1
Mg4 0.3333 0.6667 0.5433 1
Au1 0.3333 0.6667 0.8383 1
```

Largest 8 diffraction maxima, by intensity, 2θ from 10° to 80°:
| Position (°2θ) | d (Å) | intensity |
| --- | --- | --- |
| 23.49 | 3.788 | 100.0 |
| 28.94 | 3.085 | 68.9 |
| 37.51 | 2.398 | 64.4 |
| 48.09 | 1.892 | 44.0 |
| 36.33 | 2.473 | 43.6 |
| 44.92 | 2.018 | 23.2 |
| 21.40 | 4.153 | 23.0 |
| 44.73 | 2.026 | 19.1 |